WO2: computed XRD peak list (Cu Ka), based on a structure optimized by DFT (PBE+U).
Lines closer than 0.1° are merged.

Unit cell a=3.2406 b=3.2406 c=14.0849 alpha=90.00 beta=90.00 gamma=120.00
Space group R-3m (No. 166, hexagonal axes)
Symmetry-distinct sites (fractional):
W (0.0000, 0.0000, 0.0000) x3
O (0.0000, 0.0000, 0.2637) x6

Top 10 peaks for 2θ = 5–70°, in order of falling intensity:
| 2θ (°) | Rel. int. | hkl |
| --- | --- | --- |
| 18.90 | 100 | 0 0 3 |
| 32.53 | 69 | 1 0 1 |
| 41.13 | 51 | 1 0 4 |
| 34.40 | 41 | 0 1 2 |
| 60.44 | 27 | 1 1 3 |
| 45.63 | 24 | 0 1 5 |
| 56.82 | 20 | 1 1 0 |
| 56.26 | 18 | 1 0 7 |
| 62.25 | 14 | 0 1 8 |
| 38.34 | 11 | 0 0 6 |

***

WO3: computed XRD peak list (Cu Ka), based on a structure optimized by DFT (PBE+U).
Lines closer than 0.1° are merged.

Unit cell a=3.885 b=7.750 c=7.689 alpha=90.00 beta=90.00 gamma=90.00
Space group Pbcm (No. 57)
Symmetry-distinct sites (fractional):
W (0.030, 0.016, 0.250) x4
O (0.000, 0.000, 0.000) x4
O (0.002, 0.244, 0.750) x4
O (0.494, 0.507, 0.250) x4

Top 10 peaks for 2θ = 5–70°, in order of falling intensity:
| 2θ (°) | Rel. int. | hkl |
| --- | --- | --- |
| 22.92 | 100 | 1 0 0 |
| 32.79 | 55 | 1 0 2 |
| 23.14 | 51 | 0 0 2 |
| 52.77 | 27 | 2 0 2 |
| 32.64 | 26 | 1 2 0 |
| 53.18 | 20 | 1 0 4 |
| 40.39 | 19 | 1 2 2 |
| 58.35 | 19 | 2 2 2 |
| 58.64 | 11 | 1 2 4 |
| 47.29 | 10 | 0 0 4 |

***

WO2: computed XRD peak list (Cu Ka), based on a structure optimized by DFT (PBE+U).
Lines closer than 0.1° are merged.

Unit cell a=3.213 b=4.837 c=5.760 alpha=90.00 beta=123.48 gamma=90.00
Space group P2_1/c (No. 14)
Symmetry-distinct sites (fractional):
W (0.000, 0.000, 0.000) x2
O (0.292, 0.198, 0.796) x4

Top 10 peaks for 2θ = 5–70°, in order of falling intensity:
| 2θ (°) | Rel. int. | hkl |
| --- | --- | --- |
| 26.14 | 100 | 0 1 1 |
| 33.47 | 68 | 1 0 0 |
| 50.90 | 34 | 1 1 1 |
| 33.67 | 22 | 1 0 -2 |
| 51.02 | 17 | 1 2 -2 |
| 51.26 | 17 | 1 1 -3 |
| 53.79 | 16 | 0 2 2 |
| 37.18 | 14 | 0 2 0 |
| 37.44 | 14 | 0 0 2 |
| 64.69 | 10 | 1 3 -1 |

***

W5O7: computed XRD peak list (Cu Ka), based on a structure optimized by DFT (PBE+U).
Lines closer than 0.1° are merged.

Unit cell a=3.370 b=11.399 c=18.690 alpha=90.00 beta=90.00 gamma=90.00
Space group Cmcm (No. 63)
Symmetry-distinct sites (fractional):
W (0.000, 0.000, 0.000) x4
W (0.000, 0.271, 0.078) x8
W (0.000, 0.461, 0.658) x8
O (0.000, 0.103, 0.601) x8
O (0.000, 0.147, 0.162) x8
O (0.000, 0.342, 0.539) x8
O (0.000, 0.449, 0.250) x4

Top 10 peaks for 2θ = 5–70°, in order of falling intensity:
| 2θ (°) | Rel. int. | hkl |
| --- | --- | --- |
| 32.77 | 100 | 0 2 6 |
| 9.46 | 75 | 0 0 2 |
| 54.45 | 40 | 2 0 0 |
| 33.72 | 38 | 1 1 4 |
| 36.93 | 37 | 1 3 2 |
| 29.24 | 34 | 1 1 2 |
| 38.52 | 33 | 1 3 3 |
| 31.39 | 31 | 0 4 0 |
| 31.18 | 30 | 1 1 3 |
| 65.03 | 29 | 2 2 6 |

***

WO3: computed XRD peak list (Cu Ka), based on a structure optimized by DFT (PBE+U).
Lines closer than 0.1° are merged.

Unit cell a=3.884 b=7.735 c=7.697 alpha=90.00 beta=90.00 gamma=90.00
Space group Pbcm (No. 57)
Symmetry-distinct sites (fractional):
W (0.029, 0.012, 0.250) x4
O (0.000, 0.000, 0.000) x4
O (0.001, 0.247, 0.750) x4
O (0.494, 0.503, 0.250) x4

Top 10 peaks for 2θ = 5–70°, in order of falling intensity:
| 2θ (°) | Rel. int. | hkl |
| --- | --- | --- |
| 22.95 | 100 | 0 2 0 |
| 32.72 | 54 | 1 0 2 |
| 23.11 | 50 | 0 0 2 |
| 32.83 | 28 | 0 2 2 |
| 53.14 | 20 | 0 2 4 |
| 40.41 | 20 | 1 2 2 |
| 52.78 | 19 | 2 0 2 |
| 58.62 | 11 | 1 2 4 |
| 58.46 | 10 | 1 4 2 |
| 58.33 | 10 | 2 2 2 |

***

WO3: computed XRD peak list (Cu Ka), based on a structure optimized by DFT (PBE+U).
Lines closer than 0.1° are merged.

Unit cell a=3.863 b=3.863 c=3.863 alpha=90.00 beta=90.00 gamma=90.00
Space group Pm-3m (No. 221)
Symmetry-distinct sites (fractional):
W (0.000, 0.000, 0.000) x1
O (0.000, 0.000, 0.500) x3

Top 7 peaks for 2θ = 5–70°, in order of falling intensity:
| 2θ (°) | Rel. int. | hkl |
| --- | --- | --- |
| 23.02 | 100 | 1 0 0 |
| 32.79 | 56 | 1 1 0 |
| 53.01 | 41 | 2 1 0 |
| 58.53 | 23 | 2 1 1 |
| 47.05 | 20 | 2 0 0 |
| 40.45 | 14 | 1 1 1 |
| 68.73 | 12 | 2 2 0 |

***

WO3: computed XRD peak list (Cu Ka), based on a structure optimized by DFT (PBE+U).
Lines closer than 0.1° are merged.

Unit cell a=7.704 b=7.704 c=3.899 alpha=90.00 beta=90.00 gamma=90.00
Space group P-42_1m (No. 113)
Symmetry-distinct sites (fractional):
W (0.240, 0.260, 0.464) x4
O (0.004, 0.750, 0.499) x8
O (0.245, 0.255, 0.992) x4

Top 10 peaks for 2θ = 5–70°, in order of falling intensity:
| 2θ (°) | Rel. int. | hkl |
| --- | --- | --- |
| 23.09 | 100 | 2 0 0 |
| 32.68 | 53 | 2 0 1 |
| 22.81 | 50 | 0 0 1 |
| 32.88 | 27 | 2 2 0 |
| 58.58 | 20 | 4 2 1 |
| 53.17 | 19 | 4 2 0 |
| 40.40 | 19 | 2 2 1 |
| 53.03 | 19 | 4 0 1 |
| 47.19 | 19 | 4 0 0 |
| 52.62 | 17 | 2 0 2 |

***

WO5: computed XRD peak list (Cu Ka), based on a structure optimized by DFT (PBE+U).
Lines closer than 0.1° are merged.

Unit cell a=7.720 b=6.165 c=3.888 alpha=90.00 beta=90.00 gamma=90.00
Space group Pmma (No. 51)
Symmetry-distinct sites (fractional):
W (0.250, 0.000, 0.000) x2
O (0.000, 0.000, 0.000) x2
O (0.000, 0.500, 0.500) x2
O (0.250, 0.000, 0.482) x2
O (0.250, 0.307, 0.919) x4

Top 10 peaks for 2θ = 5–70°, in order of falling intensity:
| 2θ (°) | Rel. int. | hkl |
| --- | --- | --- |
| 14.37 | 100 | 0 1 0 |
| 27.11 | 46 | 0 1 1 |
| 27.26 | 45 | 2 1 0 |
| 23.04 | 39 | 2 0 0 |
| 22.87 | 38 | 0 0 1 |
| 32.69 | 30 | 2 0 1 |
| 28.97 | 24 | 0 2 0 |
| 50.26 | 24 | 2 3 0 |
| 35.87 | 18 | 2 1 1 |
| 55.93 | 17 | 0 2 2 |

***

W3O10: computed XRD peak list (Cu Ka), based on a structure optimized by DFT (PBE+U).
Lines closer than 0.1° are merged.

Unit cell a=7.496 b=12.918 c=7.779 alpha=90.00 beta=90.00 gamma=90.00
Space group Fmm2 (No. 42)
Symmetry-distinct sites (fractional):
W (0.000, 0.000, 0.000) x4
W (0.250, 0.250, 0.065) x8
O (0.000, 0.000, 0.289) x4
O (0.000, 0.000, 0.776) x4
O (0.000, 0.214, 0.555) x8
O (0.179, 0.106, 0.045) x16
O (0.250, 0.250, 0.304) x8

Top 10 peaks for 2θ = 5–70°, in order of falling intensity:
| 2θ (°) | Rel. int. | hkl |
| --- | --- | --- |
| 27.52 | 100 | 2 2 0 |
| 36.10 | 72 | 2 2 2 |
| 22.86 | 70 | 0 0 2 |
| 17.81 | 66 | 1 1 1 |
| 27.62 | 50 | 0 4 0 |
| 13.71 | 30 | 0 2 0 |
| 26.75 | 26 | 0 2 2 |
| 48.78 | 25 | 2 6 0 |
| 26.48 | 24 | 1 3 1 |
| 55.09 | 23 | 2 2 4 |

***

WO2: computed XRD peak list (Cu Ka), based on a structure optimized by DFT (PBE+U).
Lines closer than 0.1° are merged.

Unit cell a=5.703 b=5.728 c=20.318 alpha=89.56 beta=89.44 gamma=70.03
Space group P1 (No. 1)
Symmetry-distinct sites (fractional):
W (0.000, 0.000, 0.000) x1
W (0.000, 0.482, 0.620) x1
W (0.001, 0.970, 0.738) x1
W (0.007, 0.984, 0.500) x1
W (0.011, 0.489, 0.380) x1
W (0.027, 0.985, 0.261) x1
W (0.028, 0.505, 0.128) x1
W (0.208, 0.683, 0.870) x1
W (0.498, 0.982, 0.618) x1
W (0.501, 0.478, 0.739) x1
W (0.507, 0.483, 0.499) x1
W (0.507, 0.504, 0.261) x1
W (0.511, 0.989, 0.380) x1
W (0.518, 0.995, 0.868) x1
W (0.524, 0.476, 0.000) x1
W (0.716, 0.192, 0.133) x1
O (0.065, 0.156, 0.088) x1
O (0.133, 0.600, 0.775) x1
O (0.151, 0.130, 0.573) x1
O (0.154, 0.631, 0.546) x1
O (0.156, 0.635, 0.308) x1
O (0.160, 0.139, 0.336) x1
O (0.165, 0.642, 0.046) x1
O (0.169, 0.031, 0.825) x1
O (0.344, 0.832, 0.691) x1
O (0.345, 0.332, 0.665) x1
O (0.360, 0.837, 0.453) x1
O (0.361, 0.337, 0.426) x1
O (0.363, 0.839, 0.949) x1
O (0.367, 0.843, 0.223) x1
O (0.375, 0.374, 0.175) x1
O (0.391, 0.350, 0.914) x1
O (0.559, 0.643, 0.825) x1
O (0.631, 0.109, 0.039) x1
O (0.653, 0.122, 0.788) x1
O (0.653, 0.131, 0.546) x1
O (0.657, 0.627, 0.574) x1
O (0.660, 0.638, 0.336) x1
O (0.661, 0.140, 0.303) x1
O (0.679, 0.541, 0.088) x1
O (0.839, 0.839, 0.665) x1
O (0.846, 0.335, 0.696) x1
O (0.858, 0.335, 0.454) x1
O (0.860, 0.839, 0.426) x1
O (0.865, 0.338, 0.963) x1
O (0.870, 0.346, 0.210) x1
O (0.873, 0.865, 0.914) x1
O (0.897, 0.852, 0.175) x1

Top 10 peaks for 2θ = 5–70°, in order of falling intensity:
| 2θ (°) | Rel. int. | hkl |
| --- | --- | --- |
| 32.50 | 100 | 1 -1 4 |
| 26.02 | 66 | 1 1 -4 |
| 25.74 | 63 | 1 1 4 |
| 35.34 | 34 | 0 0 8 |
| 33.28 | 31 | 0 2 0 |
| 51.20 | 31 | 1 3 -4 |
| 33.44 | 30 | 2 0 0 |
| 38.46 | 22 | 2 2 0 |
| 49.23 | 20 | 2 0 8 |
| 61.65 | 19 | 1 -1 12 |

***

WO3: computed XRD peak list (Cu Ka), based on a structure optimized by DFT (PBE+U).
Lines closer than 0.1° are merged.

Unit cell a=5.478 b=5.482 c=7.698 alpha=90.00 beta=90.00 gamma=90.00
Space group Cmcm (No. 63)
Symmetry-distinct sites (fractional):
W (0.000, 0.026, 0.250) x4
O (0.000, 0.000, 0.000) x4
O (0.249, 0.244, 0.750) x8

Top 10 peaks for 2θ = 5–70°, in order of falling intensity:
| 2θ (°) | Rel. int. | hkl |
| --- | --- | --- |
| 22.95 | 100 | 1 1 0 |
| 32.80 | 55 | 1 1 2 |
| 23.11 | 50 | 0 0 2 |
| 52.87 | 38 | 3 1 0 |
| 32.68 | 27 | 2 0 0 |
| 53.14 | 20 | 1 1 4 |
| 58.41 | 20 | 3 1 2 |
| 40.41 | 20 | 2 0 2 |
| 46.90 | 18 | 2 2 0 |
| 68.75 | 11 | 2 2 4 |

***

WO3: computed XRD peak list (Cu Ka), based on a structure optimized by DFT (PBE+U).
Lines closer than 0.1° are merged.

Unit cell a=5.407 b=5.407 c=7.818 alpha=90.00 beta=90.00 gamma=90.00
Space group P4/ncc (No. 130, origin choice 2)
Symmetry-distinct sites (fractional):
W (0.250, 0.250, 0.230) x4
O (0.029, 0.529, 0.250) x8
O (0.250, 0.250, 0.495) x4

Top 10 peaks for 2θ = 5–70°, in order of falling intensity:
| 2θ (°) | Rel. int. | hkl |
| --- | --- | --- |
| 23.26 | 100 | 1 1 0 |
| 32.76 | 53 | 1 1 2 |
| 22.75 | 51 | 0 0 2 |
| 33.13 | 29 | 2 0 0 |
| 58.96 | 22 | 3 1 2 |
| 53.60 | 21 | 3 1 0 |
| 40.57 | 20 | 2 0 2 |
| 53.35 | 19 | 2 2 2 |
| 47.56 | 19 | 2 2 0 |
| 52.59 | 17 | 1 1 4 |